The following is a calculated powder diffraction line list of UTe12Pd7. It was derived from a DFT-relaxed cell (PBE, Alexandria), using Cu Kα (λ = 1.5418 Å).
Kinematic intensities with the Lorentz-polarization factor, no thermal factor.

Structure:
```
UTe12Pd7
1.0
6.8071 3.9301 3.4733
-6.8071 3.9301 3.4733
0.0000 -7.8601 3.4733
U Te Pd
1 12 7
Direct
0.0000 0.0000 0.0000 U
0.0455 0.7095 0.2188 Te
0.1599 0.3785 0.4494 Te
0.2188 0.0455 0.7095 Te
0.2905 0.7812 0.9545 Te
0.3785 0.4494 0.1599 Te
0.4494 0.1599 0.3785 Te
0.5506 0.8401 0.6215 Te
0.6215 0.5506 0.8401 Te
0.7095 0.2188 0.0455 Te
0.7812 0.9545 0.2905 Te
0.8401 0.6215 0.5506 Te
0.9545 0.2905 0.7812 Te
0.0496 0.3555 0.1215 Pd
0.1215 0.0496 0.3555 Pd
0.3555 0.1215 0.0496 Pd
0.5000 0.5000 0.5000 Pd
0.6445 0.8785 0.9504 Pd
0.8785 0.9504 0.6445 Pd
0.9504 0.6445 0.8785 Pd
```

Main lines, low angle first (2θ = 10–80°):
11.3°, I = 16
13.0°, I = 27
25.6°, I = 9
28.6°, I = 18
32.3°, I = 100
44.5°, I = 40
48.2°, I = 29
59.2°, I = 15
74.2°, I = 15
79.7°, I = 10

---

The following is a calculated powder diffraction line list of UTePd14. It was derived from a DFT-relaxed cell (PBE, Alexandria), using Cu Kα (λ = 1.5418 Å).
Kinematic intensities with the Lorentz-polarization factor, no thermal factor.

Structure:
```
UTePd14
1.0
5.8013 0.0000 0.0000
0.0000 5.8013 0.0000
0.0000 0.0000 7.7434
U Te Pd
1 1 14
Direct
0.0000 0.0000 0.0000 U
0.5000 0.5000 0.0000 Te
0.0000 0.0000 0.5000 Pd
0.0000 0.5000 0.0000 Pd
0.0000 0.5000 0.5000 Pd
0.2467 0.2467 0.2506 Pd
0.2467 0.2467 0.7494 Pd
0.2467 0.7533 0.2506 Pd
0.2467 0.7533 0.7494 Pd
0.5000 0.0000 0.0000 Pd
0.5000 0.0000 0.5000 Pd
0.5000 0.5000 0.5000 Pd
0.7533 0.2467 0.2506 Pd
0.7533 0.2467 0.7494 Pd
0.7533 0.7533 0.2506 Pd
0.7533 0.7533 0.7494 Pd
```

Main lines, low angle first (2θ = 10–80°):
11.4°, I = 2
15.3°, I = 2
19.1°, I = 2
24.6°, I = 2
38.8°, I = 100
44.2°, I = 34
46.9°, I = 14
64.2°, I = 11
66.4°, I = 20
77.6°, I = 26

---

The following is a calculated powder diffraction line list of UTe6Pd5. It was derived from a DFT-relaxed cell (PBE, Alexandria), using Cu Kα (λ = 1.5418 Å).
Kinematic intensities with the Lorentz-polarization factor, no thermal factor.

Structure:
```
UTe6Pd5
1.0
3.5080 -5.9918 0.0000
3.5080 5.9918 0.0000
-2.2665 0.0000 6.6253
U Te Pd
1 6 5
Direct
0.0000 0.0000 0.0000 U
0.0895 0.4473 0.2600 Te
0.2727 0.2727 0.7417 Te
0.4473 0.0895 0.2600 Te
0.5527 0.9105 0.7400 Te
0.7273 0.7273 0.2583 Te
0.9105 0.5527 0.7400 Te
0.1514 0.8486 0.5000 Pd
0.3308 0.6692 0.0000 Pd
0.5000 0.5000 0.5000 Pd
0.6692 0.3308 0.0000 Pd
0.8486 0.1514 0.5000 Pd
```

Main lines, low angle first (2θ = 10–80°):
31.4°, I = 100
44.5°, I = 13
45.0°, I = 47
45.4°, I = 11
55.4°, I = 6
55.5°, I = 7
56.2°, I = 11
65.4°, I = 11
73.6°, I = 5
74.4°, I = 10

---

The following is a calculated powder diffraction line list of V2TePd9. It was derived from a DFT-relaxed cell (PBE, Alexandria), using Cu Kα (λ = 1.5418 Å).
Kinematic intensities with the Lorentz-polarization factor, no thermal factor.

Structure:
```
V2TePd9
1.0
3.9463 0.0000 0.0000
0.0000 3.9463 0.0000
0.0000 0.0000 12.0337
V Te Pd
2 1 9
Direct
0.0000 0.0000 0.1648 V
0.0000 0.0000 0.8352 V
0.0000 0.0000 0.5000 Te
0.0000 0.5000 0.0000 Pd
0.0000 0.5000 0.3146 Pd
0.0000 0.5000 0.6854 Pd
0.5000 0.0000 0.0000 Pd
0.5000 0.0000 0.3146 Pd
0.5000 0.0000 0.6854 Pd
0.5000 0.5000 0.1578 Pd
0.5000 0.5000 0.5000 Pd
0.5000 0.5000 0.8422 Pd
```

Main lines, low angle first (2θ = 10–80°):
35.5°, I = 3
37.4°, I = 2
39.3°, I = 100
45.2°, I = 14
46.0°, I = 33
63.6°, I = 2
66.5°, I = 18
67.1°, I = 10
71.2°, I = 2
79.5°, I = 8

---

The following is a calculated powder diffraction line list of VTe4Pd2. It was derived from a DFT-relaxed cell (PBE, Alexandria), using Cu Kα (λ = 1.5418 Å).
Kinematic intensities with the Lorentz-polarization factor, no thermal factor.

Structure:
```
VTe4Pd2
1.0
6.5888 -2.0442 0.0000
6.5888 2.0442 0.0000
-3.6206 0.0000 6.1281
V Te Pd
1 4 2
Direct
0.0000 0.0000 0.0000 V
0.1138 0.1138 0.4464 Te
0.3756 0.3756 0.0419 Te
0.6244 0.6244 0.9581 Te
0.8862 0.8862 0.5536 Te
0.2595 0.2595 0.2815 Pd
0.7405 0.7405 0.7185 Pd
```

Main lines, low angle first (2θ = 10–80°):
29.5°, I = 100
30.0°, I = 15
30.1°, I = 48
39.9°, I = 18
40.4°, I = 22
41.1°, I = 36
44.2°, I = 49
44.3°, I = 28
54.5°, I = 23
55.5°, I = 15

---

The following is a calculated powder diffraction line list of YTe2Pd7. It was derived from a DFT-relaxed cell (PBE, Alexandria), using Cu Kα (λ = 1.5418 Å).
Kinematic intensities with the Lorentz-polarization factor, no thermal factor.

Structure:
```
YTe2Pd7
1.0
-2.1077 2.1077 10.8449
2.1077 -2.1077 10.8449
2.1077 2.1077 -10.8449
Y Te Pd
1 2 7
Direct
0.0000 0.0000 0.0000 Y
0.3289 0.3289 0.0000 Te
0.6711 0.6711 0.0000 Te
0.0935 0.5935 0.5000 Pd
0.2500 0.7500 0.5000 Pd
0.4065 0.9065 0.5000 Pd
0.5000 0.5000 0.0000 Pd
0.5935 0.0935 0.5000 Pd
0.7500 0.2500 0.5000 Pd
0.9065 0.4065 0.5000 Pd
```

Main lines, low angle first (2θ = 10–80°):
21.5°, I = 8
24.4°, I = 16
29.5°, I = 6
39.2°, I = 100
42.9°, I = 41
50.0°, I = 6
50.5°, I = 10
62.3°, I = 13
68.4°, I = 15
76.1°, I = 28

---

What did the fifth record say?
The following is a calculated powder diffraction line list of VTe4Pd2. It was derived from a DFT-relaxed cell (PBE, Alexandria), using Cu Kα (λ = 1.5418 Å).
Kinematic intensities with the Lorentz-polarization factor, no thermal factor.

Structure:
```
VTe4Pd2
1.0
6.5888 -2.0442 0.0000
6.5888 2.0442 0.0000
-3.6206 0.0000 6.1281
V Te Pd
1 4 2
Direct
0.0000 0.0000 0.0000 V
0.1138 0.1138 0.4464 Te
0.3756 0.3756 0.0419 Te
0.6244 0.6244 0.9581 Te
0.8862 0.8862 0.5536 Te
0.2595 0.2595 0.2815 Pd
0.7405 0.7405 0.7185 Pd
```

Main lines, low angle first (2θ = 10–80°):
29.5°, I = 100
30.0°, I = 15
30.1°, I = 48
39.9°, I = 18
40.4°, I = 22
41.1°, I = 36
44.2°, I = 49
44.3°, I = 28
54.5°, I = 23
55.5°, I = 15

---

What is the formula in the fourth record? V2TePd9

---

What did the fourth record say?
The following is a calculated powder diffraction line list of V2TePd9. It was derived from a DFT-relaxed cell (PBE, Alexandria), using Cu Kα (λ = 1.5418 Å).
Kinematic intensities with the Lorentz-polarization factor, no thermal factor.

Structure:
```
V2TePd9
1.0
3.9463 0.0000 0.0000
0.0000 3.9463 0.0000
0.0000 0.0000 12.0337
V Te Pd
2 1 9
Direct
0.0000 0.0000 0.1648 V
0.0000 0.0000 0.8352 V
0.0000 0.0000 0.5000 Te
0.0000 0.5000 0.0000 Pd
0.0000 0.5000 0.3146 Pd
0.0000 0.5000 0.6854 Pd
0.5000 0.0000 0.0000 Pd
0.5000 0.0000 0.3146 Pd
0.5000 0.0000 0.6854 Pd
0.5000 0.5000 0.1578 Pd
0.5000 0.5000 0.5000 Pd
0.5000 0.5000 0.8422 Pd
```

Main lines, low angle first (2θ = 10–80°):
35.5°, I = 3
37.4°, I = 2
39.3°, I = 100
45.2°, I = 14
46.0°, I = 33
63.6°, I = 2
66.5°, I = 18
67.1°, I = 10
71.2°, I = 2
79.5°, I = 8